# 1
This entry pairs a crystal structure of Ge3Ir2Se3 with its simulated powder diffractogram. Radiation: λ = 1.5418 Å (Cu Kα). Structure: a structure optimized by DFT (PBE).

Main lines, by intensity (2θ = 15–90°):
2θ = 20.45°, I 100; 2θ = 32.60°, I 74; 2θ = 29.08°, I 68; 2θ = 46.71°, I 57; 2θ = 46.83°, I 57; 2θ = 51.59°, I 55; 2θ = 35.85°, I 25; 2θ = 51.41°, I 19

```
Ge3Ir2Se3
1.0
6.133 3.541 5.030
-6.133 3.541 5.030
0.000 -7.082 5.030
Ge Ir Se
12 8 12
Cartesian
-4.085 1.305 4.134
0.913 -4.191 4.134
-1.111 -1.721 5.135
-3.173 -2.886 10.956
-0.935 1.822 5.135
-2.046 0.101 9.955
2.046 -0.101 5.135
0.935 -1.822 9.955
3.173 2.886 4.134
1.111 1.721 9.955
-0.913 4.190 10.956
4.085 -1.305 10.956
-0.037 -3.554 6.285
-3.097 -1.745 8.805
-3.059 1.809 6.285
0.000 0.000 3.816
0.000 0.000 11.274
3.059 -1.809 8.805
3.097 1.745 6.285
0.037 3.554 8.805
-2.144 0.249 2.508
0.856 -1.982 2.508
-3.044 -0.737 6.492
1.288 1.732 2.508
-0.884 -3.004 8.598
2.160 -2.268 6.492
-2.160 2.268 8.598
0.884 3.004 6.492
-1.288 -1.732 12.582
3.044 0.737 8.598
-0.856 1.982 12.582
2.144 -0.249 12.582
```

# 2
This entry pairs a crystal structure of Zr6FeSn2H10 with its simulated powder diffractogram. Radiation: λ = 1.5418 Å (Cu Kα). Structure: a structure optimized by DFT (PBE).

Main lines, by intensity (2θ = 15–90°):
2θ = 32.77°, I 100; 2θ = 35.19°, I 72; 2θ = 33.42°, I 63; 2θ = 38.06°, I 56; 2θ = 41.72°, I 40; 2θ = 62.43°, I 32; 2θ = 35.65°, I 25; 2θ = 61.21°, I 20

```
Zr6FeSn2H10
1.0
8.191 0.000 0.000
-4.095 7.093 0.000
0.000 0.000 7.340
Zr Fe Sn H
12 2 4 20
Cartesian
-3.054 5.290 0.000
-3.054 5.290 3.670
-1.342 2.986 1.835
1.041 1.803 0.000
1.041 1.803 3.670
-0.838 6.762 1.835
3.257 0.331 5.505
2.180 4.438 1.835
2.753 4.107 5.505
6.108 0.000 0.000
6.108 0.000 3.670
6.275 2.656 5.505
0.000 0.000 1.835
0.000 0.000 5.505
0.000 4.729 3.985
0.000 4.729 7.025
4.095 2.364 0.315
4.095 2.364 3.355
0.000 0.000 0.000
0.000 0.000 3.670
-1.143 1.980 0.000
-1.143 1.980 3.670
-1.985 5.025 1.835
-0.001 1.681 5.505
-2.639 6.254 5.505
1.457 0.840 1.835
2.286 0.000 0.000
2.286 0.000 3.670
0.736 2.862 1.835
2.111 2.068 5.505
1.249 6.300 1.835
5.344 0.794 5.505
2.952 5.113 0.000
2.952 5.113 3.670
2.640 6.252 5.505
4.094 5.412 1.835
6.735 0.842 1.835
4.831 4.231 5.505
```

# 3
This entry pairs a crystal structure of Nd2Fe15Co2H3 with its simulated powder diffractogram. Radiation: λ = 1.5418 Å (Cu Kα). Structure: a structure optimized by DFT (PBE).

Main lines, by intensity (2θ = 15–90°):
2θ = 42.46°, I 100; 2θ = 41.90°, I 72; 2θ = 44.08°, I 46; 2θ = 30.05°, I 42; 2θ = 36.08°, I 40; 2θ = 37.86°, I 30; 2θ = 47.64°, I 22; 2θ = 61.18°, I 21

```
Nd2Fe15Co2H3
1.0
4.312 2.490 4.106
-4.312 2.490 4.106
0.000 -4.979 4.106
Nd Fe Co H
2 15 2 3
Cartesian
0.000 0.000 1.929
0.000 0.000 10.391
-2.156 -1.245 4.106
0.000 -2.440 3.986
-2.113 1.220 3.986
-1.219 -2.111 6.160
-2.437 0.000 6.160
-2.113 -1.220 8.334
-2.156 1.245 8.213
1.219 -2.111 6.160
0.000 2.490 4.106
-1.219 2.111 6.160
2.113 1.220 3.986
2.437 0.000 6.160
1.219 2.111 6.160
2.113 -1.220 8.334
0.000 2.440 8.334
0.000 0.000 5.005
0.000 0.000 7.314
-4.312 0.000 6.160
-2.156 1.245 2.053
2.156 1.245 2.053
```

# 4
This entry pairs a crystal structure of Tm2SnAu2 with its simulated powder diffractogram. Radiation: λ = 1.5418 Å (Cu Kα). Structure: a structure optimized by DFT (PBE).

Main lines, by intensity (2θ = 15–90°):
2θ = 35.07°, I 100; 2θ = 36.19°, I 40; 2θ = 33.10°, I 17; 2θ = 62.18°, I 15; 2θ = 69.18°, I 14; 2θ = 15.97°, I 13; 2θ = 48.73°, I 12; 2θ = 48.39°, I 9

```
Tm2SnAu2
1.0
7.849 0.000 0.000
0.000 7.849 0.000
0.000 0.000 7.475
Tm Sn Au
8 4 8
Cartesian
1.266 1.266 0.000
1.397 1.397 3.738
2.527 5.321 0.000
2.658 5.191 3.738
5.191 2.658 3.738
5.321 2.527 0.000
6.452 6.452 3.738
6.582 6.582 0.000
0.000 3.924 1.869
0.000 3.924 5.607
3.924 0.000 1.869
3.924 0.000 5.607
1.005 6.843 1.999
1.005 6.843 5.476
2.919 2.919 1.739
2.919 2.919 5.737
4.930 4.930 1.739
4.930 4.930 5.737
6.843 1.005 1.999
6.843 1.005 5.476
```